Li4SbPd4: simulated powder X-ray diffraction pattern (Cu Kα, 1.54184 Å), based on a cell relaxed with GGA-PBE.
No peak broadening, texture or thermal motion is included.

Structure:
```
Li4SbPd4
1.0
-4.048 4.048 2.073
4.048 -4.048 2.073
4.048 4.048 -2.073
Li Sb Pd
4 1 4
direct
0.175 0.175 0.351
0.175 0.825 0.000
0.825 0.175 0.000
0.825 0.825 0.649
0.500 0.500 0.000
0.171 0.500 0.671
0.500 0.171 0.671
0.500 0.829 0.329
0.829 0.500 0.329
```

Most intense lines, 5° ≤ 2θ ≤ 70°, sorted by position:
Position (°2θ), I/Imax
22.0, 30.8
24.1, 58.8
35.1, 22.0
39.9, 100.0
47.7, 29.6
66.6, 21.2